# 1
Diffraction record for Tl3CuSn3S8. The PXRD pattern is theoretical, not measured: it uses a cell relaxed with PBE and Cu Kα (weighted mean of Kα1 and Kα2).
Kinematic intensities with the Lorentz-polarization factor, no thermal factor.

Atomic structure:
Unit cell a=13.257 b=7.444 c=8.846 alpha=90.00 beta=120.37 gamma=90.00
Space group C2/m (No. 12)
One atom of each set of equivalent atoms:
Tl 0.000 0.000 0.000 [2 per cell]
Tl 0.250 0.250 0.000 [4 per cell]
Cu 0.000 0.000 0.500 [2 per cell]
Sn 0.000 0.500 0.500 [2 per cell]
Sn 0.250 0.250 0.500 [4 per cell]
S 0.019 0.236 0.323 [8 per cell]
S 0.233 0.500 0.698 [4 per cell]
S 0.245 0.000 0.698 [4 per cell]

The 10 most intense peaks (5 to 70 degrees two-theta), in order of falling intensity:
(2 2 -2), 2θ = 31.65°, I 100; (4 0 0), 2θ = 31.28°, I 54; (2 2 0), 2θ = 28.61°, I 48; (0 0 2), 2θ = 23.31°, I 47; (2 2 2), 2θ = 42.17°, I 40; (6 2 -2), 2θ = 47.88°, I 33; (4 0 -2), 2θ = 27.98°, I 27; (1 1 -1), 2θ = 15.67°, I 21; (4 0 -4), 2θ = 41.55°, I 21; (2 2 -4), 2θ = 48.58°, I 19


# 2
Diffraction record for Tl2Cu2SnS4. The PXRD pattern is theoretical, not measured: it uses a cell relaxed with PBE and Cu Kα (weighted mean of Kα1 and Kα2).
Kinematic intensities with the Lorentz-polarization factor, no thermal factor.

Atomic structure:
Unit cell a=5.306 b=11.685 c=13.732 alpha=90.00 beta=90.00 gamma=90.00
Space group Ibam (No. 72)
One atom of each set of equivalent atoms:
Tl 0.237 0.120 0.000 [8 per cell]
Cu 0.000 0.226 0.250 [8 per cell]
Sn 0.000 0.500 0.250 [4 per cell]
S 0.232 0.368 0.145 [16 per cell]

The 10 most intense peaks (5 to 70 degrees two-theta), in order of falling intensity:
(1 2 3), 2θ = 29.98°, I 100; (1 2 1), 2θ = 23.56°, I 64; (0 4 2), 2θ = 33.33°, I 50; (2 0 2), 2θ = 36.30°, I 43; (0 0 4), 2θ = 25.95°, I 38; (2 4 0), 2θ = 46.22°, I 32; (1 2 5), 2θ = 40.06°, I 30; (0 4 6), 2θ = 50.67°, I 22; (2 0 6), 2θ = 52.83°, I 21; (2 4 4), 2θ = 53.77°, I 20


# 3
Diffraction record for Tl2CuSnS4. The PXRD pattern is theoretical, not measured: it uses a cell relaxed with PBE and Cu Kα (weighted mean of Kα1 and Kα2).
Kinematic intensities with the Lorentz-polarization factor, no thermal factor.

Atomic structure:
Unit cell a=10.185 b=8.057 c=7.203 alpha=90.00 beta=134.99 gamma=90.00
Space group C2 (No. 5)
One atom of each set of equivalent atoms:
Tl 0.000 0.000 0.000 [2 per cell]
Tl 0.000 0.249 0.500 [2 per cell]
Cu 0.000 0.499 0.000 [2 per cell]
Sn 0.000 0.749 0.500 [2 per cell]
S 0.159 0.593 0.415 [4 per cell]
S 0.244 0.905 0.904 [4 per cell]

The 10 most intense peaks (5 to 70 degrees two-theta), in order of falling intensity:
(2 2 -1), 2θ = 28.24°, I 100; (4 2 -1), 2θ = 45.76°, I 54; (2 0 0), 2θ = 24.72°, I 47; (0 0 2), 2θ = 35.24°, I 33; (2 4 0), 2θ = 52.02°, I 22; (3 1 -2), 2θ = 29.87°, I 19; (2 0 2), 2θ = 57.19°, I 14; (0 2 3), 2θ = 59.04°, I 12; (1 1 0), 2θ = 16.51°, I 12; (0 4 2), 2θ = 58.41°, I 11


# 4
Diffraction record for TaCuS2. The PXRD pattern is theoretical, not measured: it uses a cell relaxed with PBE and Cu Kα (weighted mean of Kα1 and Kα2).
Kinematic intensities with the Lorentz-polarization factor, no thermal factor.

Atomic structure:
Unit cell a=3.3759 b=3.3759 c=13.3297 alpha=90.00 beta=90.00 gamma=120.00
Space group P6_3mc (No. 186)
One atom of each set of equivalent atoms:
Ta 0.3333 0.6667 0.0000 [2 per cell]
Cu 0.3333 0.6667 0.2185 [2 per cell]
S 0.3333 0.6667 0.3842 [2 per cell]
S 0.3333 0.6667 0.6203 [2 per cell]

The 10 most intense peaks (5 to 70 degrees two-theta), in order of falling intensity:
(1 0 5), 2θ = 46.08°, I 100; (0 0 2), 2θ = 13.28°, I 86; (1 0 1), 2θ = 31.32°, I 84; (1 0 3), 2θ = 36.80°, I 78; (1 0 0), 2θ = 30.58°, I 60; (1 1 0), 2θ = 54.35°, I 45; (0 0 4), 2θ = 26.75°, I 32; (1 1 4), 2θ = 61.59°, I 20; (1 0 4), 2θ = 41.07°, I 16; (1 0 2), 2θ = 33.47°, I 14


# 5
Diffraction record for Ta2Tl3Cu3S8. The PXRD pattern is theoretical, not measured: it uses a cell relaxed with PBE and Cu Kα (weighted mean of Kα1 and Kα2).
Kinematic intensities with the Lorentz-polarization factor, no thermal factor.

Atomic structure:
Unit cell a=20.329 b=5.595 c=7.644 alpha=90.00 beta=95.18 gamma=90.00
Space group C2 (No. 5)
One atom of each set of equivalent atoms:
Ta 0.125 0.000 0.184 [4 per cell]
Tl 0.000 0.220 0.500 [2 per cell]
Tl 0.196 0.840 0.721 [4 per cell]
Cu 0.000 0.002 0.000 [2 per cell]
Cu 0.121 0.500 0.172 [4 per cell]
S 0.036 0.766 0.244 [4 per cell]
S 0.092 0.230 0.941 [4 per cell]
S 0.155 0.257 0.413 [4 per cell]
S 0.210 0.750 0.122 [4 per cell]

The 10 most intense peaks (5 to 70 degrees two-theta), in order of falling intensity:
(2 0 -2), 2θ = 24.24°, I 100; (6 0 -1), 2θ = 27.94°, I 76; (1 1 2), 2θ = 29.04°, I 72; (1 1 0), 2θ = 16.44°, I 67; (1 1 1), 2θ = 20.41°, I 66; (3 1 0), 2θ = 20.62°, I 65; (4 0 1), 2θ = 21.95°, I 64; (3 1 -1), 2θ = 23.13°, I 47; (2 2 -1), 2θ = 35.04°, I 45; (4 2 -3), 2θ = 50.67°, I 37


# 6
Diffraction record for TbZrCuS4. The PXRD pattern is theoretical, not measured: it uses a cell relaxed with PBE and Cu Kα (weighted mean of Kα1 and Kα2).
Kinematic intensities with the Lorentz-polarization factor, no thermal factor.

Atomic structure:
Unit cell a=7.492 b=7.673 c=10.766 alpha=90.00 beta=90.00 gamma=90.00
Space group Imma (No. 74)
One atom of each set of equivalent atoms:
Tb 0.000 0.000 0.000 [4 per cell]
Zr 0.250 0.250 0.250 [4 per cell]
Cu 0.000 0.250 0.622 [4 per cell]
S 0.000 0.012 0.255 [8 per cell]
S 0.244 0.250 0.489 [8 per cell]

The 10 most intense peaks (5 to 70 degrees two-theta), in order of falling intensity:
(1 2 1), 2θ = 27.41°, I 100; (2 2 4), 2θ = 47.90°, I 80; (2 2 0), 2θ = 33.43°, I 56; (1 0 1), 2θ = 14.40°, I 45; (1 0 3), 2θ = 27.56°, I 41; (2 1 1), 2θ = 27.77°, I 37; (1 0 5), 2θ = 43.69°, I 31; (0 0 4), 2θ = 33.29°, I 28; (0 4 0), 2θ = 47.39°, I 21; (3 2 1), 2θ = 44.08°, I 21


# 7
Diffraction record for CuTcS. The PXRD pattern is theoretical, not measured: it uses a cell relaxed with PBE and Cu Kα (weighted mean of Kα1 and Kα2).
Kinematic intensities with the Lorentz-polarization factor, no thermal factor.

Atomic structure:
Unit cell a=5.164 b=2.972 c=6.178 alpha=90.00 beta=106.54 gamma=90.00
Space group Pm (No. 6)
One atom of each set of equivalent atoms:
Cu 0.000 0.000 0.000 [1 per cell]
Cu 0.478 0.500 0.011 [1 per cell]
Tc 0.428 0.000 0.368 [1 per cell]
Tc 0.947 0.500 0.362 [1 per cell]
S 0.362 0.500 0.629 [1 per cell]
S 0.857 0.000 0.615 [1 per cell]

The 10 most intense peaks (5 to 70 degrees two-theta), in order of falling intensity:
(1 1 -1), 2θ = 36.29°, I 100; (0 0 1), 2θ = 14.96°, I 34; (1 1 2), 2θ = 50.57°, I 26; (1 1 1), 2θ = 40.54°, I 22; (1 1 -2), 2θ = 43.32°, I 22; (0 0 3), 2θ = 45.98°, I 17; (3 1 -1), 2θ = 62.35°, I 16; (0 0 2), 2θ = 30.18°, I 13; (2 0 -3), 2θ = 50.25°, I 12; (2 0 1), 2θ = 43.46°, I 11


# 8
Diffraction record for Cu8TeS4. The PXRD pattern is theoretical, not measured: it uses a cell relaxed with PBE and Cu Kα (weighted mean of Kα1 and Kα2).
Kinematic intensities with the Lorentz-polarization factor, no thermal factor.

Atomic structure:
Unit cell a=15.554 b=3.763 c=11.212 alpha=90.00 beta=132.61 gamma=90.00
Space group Cm (No. 8)
One atom of each set of equivalent atoms:
Cu 0.000 0.000 0.000 [2 per cell]
Cu 0.002 0.000 0.609 [2 per cell]
Cu 0.109 0.500 0.573 [2 per cell]
Cu 0.116 0.500 0.973 [2 per cell]
Cu 0.218 0.000 0.197 [2 per cell]
Cu 0.345 0.500 0.200 [2 per cell]
Cu 0.380 0.000 0.992 [2 per cell]
Cu 0.382 0.000 0.769 [2 per cell]
Te 0.121 0.500 0.232 [2 per cell]
S 0.027 0.000 0.435 [2 per cell]
S 0.265 0.000 0.046 [2 per cell]
S 0.303 0.500 0.787 [2 per cell]
S 0.485 0.000 0.700 [2 per cell]

The 10 most intense peaks (5 to 70 degrees two-theta), in order of falling intensity:
(3 1 -3), 2θ = 33.84°, I 100; (0 0 1), 2θ = 10.72°, I 80; (5 1 -5), 2θ = 47.25°, I 61; (5 1 0), 2θ = 46.43°, I 58; (0 2 0), 2θ = 48.37°, I 57; (2 0 -2), 2θ = 15.84°, I 57; (2 0 1), 2θ = 24.19°, I 52; (3 1 0), 2θ = 33.44°, I 36; (1 1 -1), 2θ = 24.94°, I 23; (0 0 2), 2θ = 21.54°, I 23


# 9
Diffraction record for Cu2TeS. The PXRD pattern is theoretical, not measured: it uses a cell relaxed with PBE and Cu Kα (weighted mean of Kα1 and Kα2).
Kinematic intensities with the Lorentz-polarization factor, no thermal factor.

Atomic structure:
Unit cell a=3.841 b=3.841 c=5.745 alpha=90.00 beta=90.00 gamma=90.00
Space group P-4m2 (No. 115)
One atom of each set of equivalent atoms:
Cu 0.000 0.500 0.203 [2 per cell]
Te 0.000 0.000 0.500 [1 per cell]
S 0.500 0.500 0.000 [1 per cell]

The 10 most intense peaks (5 to 70 degrees two-theta), in order of falling intensity:
(1 0 1), 2θ = 27.95°, I 100; (1 1 2), 2θ = 45.99°, I 43; (2 1 1), 2θ = 55.87°, I 27; (2 0 0), 2θ = 47.34°, I 23; (1 1 1), 2θ = 36.60°, I 20; (1 0 0), 2θ = 23.16°, I 15; (1 0 2), 2θ = 39.16°, I 14; (1 0 3), 2θ = 53.47°, I 12; (2 2 0), 2θ = 69.19°, I 7; (2 0 3), 2θ = 69.30°, I 7


# 10
Diffraction record for ThCuS. The PXRD pattern is theoretical, not measured: it uses a cell relaxed with PBE and Cu Kα (weighted mean of Kα1 and Kα2).
Kinematic intensities with the Lorentz-polarization factor, no thermal factor.

Atomic structure:
Unit cell a=4.5679 b=4.5679 c=22.1457 alpha=90.00 beta=90.00 gamma=120.00
Space group R-3m (No. 166, hexagonal axes)
One atom of each set of equivalent atoms:
Th 0.0000 0.0000 0.0793 [6 per cell]
Cu 0.0000 0.0000 0.3301 [6 per cell]
S 0.0000 0.0000 0.2121 [6 per cell]

The 10 most intense peaks (5 to 70 degrees two-theta), in order of falling intensity:
(1 0 1), 2θ = 22.84°, I 100; (1 1 0), 2θ = 39.45°, I 90; (1 0 7), 2θ = 36.36°, I 77; (0 1 5), 2θ = 30.29°, I 60; (0 1 8), 2θ = 39.74°, I 34; (1 1 6), 2θ = 46.77°, I 27; (1 1 12), 2θ = 64.97°, I 25; (0 0 6), 2θ = 24.11°, I 24; (0 2 7), 2θ = 54.73°, I 24; (2 1 7), 2θ = 69.54°, I 23


# 11
Diffraction record for TiCu3S6. The PXRD pattern is theoretical, not measured: it uses a cell relaxed with PBE and Cu Kα (weighted mean of Kα1 and Kα2).
Kinematic intensities with the Lorentz-polarization factor, no thermal factor.

Atomic structure:
Unit cell a=8.463 b=11.099 c=3.736 alpha=90.00 beta=90.00 gamma=90.00
Space group Cmmm (No. 65)
One atom of each set of equivalent atoms:
Ti 0.000 0.000 0.000 [2 per cell]
Cu 0.000 0.500 0.000 [2 per cell]
Cu 0.250 0.250 0.500 [4 per cell]
S 0.000 0.151 0.500 [4 per cell]
S 0.216 0.383 0.000 [8 per cell]

The 10 most intense peaks (5 to 70 degrees two-theta), in order of falling intensity:
(2 4 1), 2θ = 46.04°, I 100; (0 2 1), 2θ = 28.80°, I 92; (2 2 0), 2θ = 26.49°, I 65; (4 2 1), 2θ = 52.36°, I 32; (4 0 0), 2θ = 42.74°, I 29; (0 0 2), 2θ = 48.74°, I 24; (2 6 0), 2θ = 54.11°, I 20; (1 1 1), 2θ = 27.30°, I 17; (2 2 2), 2θ = 56.33°, I 15; (4 0 2), 2θ = 66.80°, I 14


# 12
Diffraction record for Ti10Cu7S20. The PXRD pattern is theoretical, not measured: it uses a cell relaxed with PBE and Cu Kα (weighted mean of Kα1 and Kα2).
Kinematic intensities with the Lorentz-polarization factor, no thermal factor.

Atomic structure:
Unit cell a=12.885 b=3.440 c=29.760 alpha=90.00 beta=98.54 gamma=90.00
Space group Cm (No. 8)
One atom of each set of equivalent atoms:
Ti 0.000 0.000 0.000 [2 per cell]
Ti 0.000 0.000 0.198 [2 per cell]
Ti 0.000 0.000 0.797 [2 per cell]
Ti 0.001 0.500 0.498 [2 per cell]
Ti 0.494 0.000 0.298 [2 per cell]
Ti 0.494 0.500 0.598 [2 per cell]
Ti 0.496 0.000 0.099 [2 per cell]
Ti 0.497 0.500 0.398 [2 per cell]
Ti 0.498 0.000 0.697 [2 per cell]
Ti 0.498 0.000 0.898 [2 per cell]
Cu 0.207 0.500 0.314 [2 per cell]
Cu 0.208 0.000 0.613 [2 per cell]
Cu 0.284 0.000 0.884 [2 per cell]
Cu 0.284 0.500 0.987 [2 per cell]
Cu 0.285 0.500 0.779 [2 per cell]
Cu 0.287 0.000 0.482 [2 per cell]
Cu 0.287 0.500 0.184 [2 per cell]
S 0.107 0.000 0.073 [2 per cell]
S 0.109 0.500 0.373 [2 per cell]
S 0.111 0.000 0.672 [2 per cell]
S 0.111 0.000 0.872 [2 per cell]
S 0.111 0.500 0.972 [2 per cell]
S 0.112 0.500 0.772 [2 per cell]
S 0.113 0.000 0.272 [2 per cell]
S 0.113 0.500 0.172 [2 per cell]
S 0.114 0.000 0.472 [2 per cell]
S 0.114 0.500 0.571 [2 per cell]
S 0.379 0.000 0.823 [2 per cell]
S 0.380 0.000 0.026 [2 per cell]
S 0.380 0.500 0.924 [2 per cell]
S 0.381 0.000 0.225 [2 per cell]
S 0.381 0.000 0.623 [2 per cell]
S 0.381 0.500 0.324 [2 per cell]
S 0.382 0.500 0.524 [2 per cell]
S 0.383 0.500 0.124 [2 per cell]
S 0.385 0.000 0.423 [2 per cell]
S 0.385 0.500 0.722 [2 per cell]

The 10 most intense peaks (5 to 70 degrees two-theta), in order of falling intensity:
(1 1 -5), 2θ = 30.38°, I 100; (0 2 0), 2θ = 53.29°, I 79; (5 1 5), 2θ = 48.80°, I 55; (5 1 -5), 2θ = 45.11°, I 48; (3 1 -5), 2θ = 35.57°, I 34; (6 0 -10), 2θ = 49.03°, I 28; (4 0 10), 2θ = 44.93°, I 24; (0 0 7), 2θ = 21.14°, I 19; (1 1 5), 2θ = 31.47°, I 18; (2 0 10), 2θ = 35.45°, I 17


# 13
Diffraction record for Ti4CuS8. The PXRD pattern is theoretical, not measured: it uses a cell relaxed with PBE and Cu Kα (weighted mean of Kα1 and Kα2).
Kinematic intensities with the Lorentz-polarization factor, no thermal factor.

Atomic structure:
Unit cell a=9.955 b=9.955 c=9.955 alpha=90.00 beta=90.00 gamma=90.00
Space group F-43m (No. 216)
One atom of each set of equivalent atoms:
Ti 0.121 0.121 0.121 [16 per cell]
Cu 0.000 0.000 0.500 [4 per cell]
S 0.122 0.122 0.878 [16 per cell]
S 0.130 0.130 0.370 [16 per cell]

The 10 most intense peaks (5 to 70 degrees two-theta), in order of falling intensity:
(4 4 0), 2θ = 51.96°, I 100; (3 1 1), 2θ = 29.76°, I 89; (4 0 0), 2θ = 36.09°, I 86; (5 1 1), 2θ = 47.45°, I 38; (1 1 1), 2θ = 15.42°, I 38; (2 0 0), 2θ = 17.82°, I 20; (4 4 4), 2θ = 64.89°, I 17; (2 2 0), 2θ = 25.30°, I 15; (2 2 2), 2θ = 31.12°, I 13; (5 3 3), 2θ = 61.04°, I 10